(1)
For LiZrNiHg, a crystal structure in Alexandria, relaxed with PBE gives the theoretical X-ray powder pattern in this record (Cu Kα X-rays).

Structure:
```
4
Lattice="0.000 3.182 3.182 3.182 0.000 3.182 3.182 3.182 0.000" Properties=species:S:1:pos:R:3 pbc="T T T"
Li 0.000 0.000 0.000
Zr 4.773 4.773 4.773
Ni 3.182 3.182 3.182
Hg 1.591 1.591 1.591
```

Most intense lines, 2θ from 5° to 70°, in order of falling intensity:
| two_theta | I/Imax |
| --- | --- |
| 40.08 | 100 |
| 28.04 | 48 |
| 24.23 | 27 |
| 65.61 | 18 |
| 57.97 | 17 |
| 47.38 | 15 |
| 49.63 | 14 |
| 63.75 | 6 |

***

(2)
For AcTiSeO2, a crystal structure in Alexandria, relaxed with PBE gives the theoretical X-ray powder pattern in this record (Cu Kα X-rays).

Structure:
```
5
Lattice="4.020 0.000 0.000 0.000 4.020 0.000 0.000 0.000 6.056" Properties=species:S:1:pos:R:3 pbc="T T T"
Ac 0.000 0.000 0.000
Ti 2.010 2.010 2.002
Se 2.010 2.010 4.552
O 0.000 2.010 1.537
O 2.010 0.000 1.537
```

Most intense lines, 2θ from 5° to 70°, in order of falling intensity:
| two_theta | I/Imax |
| --- | --- |
| 26.61 | 100 |
| 37.17 | 75 |
| 14.63 | 63 |
| 31.47 | 53 |
| 59.82 | 38 |
| 34.86 | 37 |
| 53.14 | 31 |
| 45.10 | 29 |
| 55.86 | 17 |
| 47.67 | 14 |

***

(3)
For Pu4In15Hg, a crystal structure in Alexandria, relaxed with PBE gives the theoretical X-ray powder pattern in this record (Cu Kα X-rays).

Structure:
```
20
Lattice="4.632 0.000 0.000 0.000 4.632 0.000 0.000 0.000 23.731" Properties=species:S:1:pos:R:3 pbc="T T T"
Pu 0.000 0.000 2.336
Pu 0.000 0.000 7.050
Pu 0.000 0.000 16.682
Pu 0.000 0.000 21.395
In 0.000 2.316 0.000
In 0.000 2.316 4.687
In 0.000 2.316 9.431
In 0.000 2.316 14.300
In 0.000 2.316 19.044
In 2.316 0.000 0.000
In 2.316 0.000 4.687
In 2.316 0.000 9.431
In 2.316 0.000 14.300
In 2.316 0.000 19.044
In 2.316 2.316 2.343
In 2.316 2.316 6.974
In 2.316 2.316 11.866
In 2.316 2.316 16.757
In 2.316 2.316 21.389
Hg 0.000 0.000 11.866
```

Most intense lines, 2θ from 5° to 70°, in order of falling intensity:
| two_theta | I/Imax |
| --- | --- |
| 33.23 | 100 |
| 38.89 | 33 |
| 66.84 | 26 |
| 55.43 | 23 |
| 37.91 | 17 |
| 65.52 | 13 |
| 69.77 | 11 |
| 56.16 | 11 |
| 19.16 | 7 |
| 26.90 | 6 |

***

(4)
For NpSi2PdRh, a crystal structure in Alexandria, relaxed with PBE gives the theoretical X-ray powder pattern in this record (Cu Kα X-rays).

Structure:
```
5
Lattice="-2.006 2.006 5.183 2.006 -2.006 5.183 2.006 2.006 -5.183" Properties=species:S:1:pos:R:3 pbc="T T T"
Np 0.000 0.000 0.000
Si 0.000 0.000 4.007
Si 0.000 0.000 6.359
Pd 2.006 0.000 2.591
Rh 0.000 2.006 2.591
```

Most intense lines, 2θ from 5° to 70°, in order of falling intensity:
| two_theta | I/Imax |
| --- | --- |
| 36.10 | 100 |
| 23.79 | 48 |
| 34.25 | 38 |
| 45.21 | 33 |
| 34.61 | 21 |
| 58.16 | 19 |
| 57.92 | 17 |
| 63.00 | 17 |
| 49.49 | 16 |
| 51.72 | 13 |

***

Repeat the third record exactly.
For Pu4In15Hg, a crystal structure in Alexandria, relaxed with PBE gives the theoretical X-ray powder pattern in this record (Cu Kα X-rays).

Structure:
```
20
Lattice="4.632 0.000 0.000 0.000 4.632 0.000 0.000 0.000 23.731" Properties=species:S:1:pos:R:3 pbc="T T T"
Pu 0.000 0.000 2.336
Pu 0.000 0.000 7.050
Pu 0.000 0.000 16.682
Pu 0.000 0.000 21.395
In 0.000 2.316 0.000
In 0.000 2.316 4.687
In 0.000 2.316 9.431
In 0.000 2.316 14.300
In 0.000 2.316 19.044
In 2.316 0.000 0.000
In 2.316 0.000 4.687
In 2.316 0.000 9.431
In 2.316 0.000 14.300
In 2.316 0.000 19.044
In 2.316 2.316 2.343
In 2.316 2.316 6.974
In 2.316 2.316 11.866
In 2.316 2.316 16.757
In 2.316 2.316 21.389
Hg 0.000 0.000 11.866
```

Most intense lines, 2θ from 5° to 70°, in order of falling intensity:
| two_theta | I/Imax |
| --- | --- |
| 33.23 | 100 |
| 38.89 | 33 |
| 66.84 | 26 |
| 55.43 | 23 |
| 37.91 | 17 |
| 65.52 | 13 |
| 69.77 | 11 |
| 56.16 | 11 |
| 19.16 | 7 |
| 26.90 | 6 |